This entry pairs a crystal structure of Sr3PrMn4O12 with its theoretical X-ray powder pattern. Radiation: Cu Kα. Structure: a DFT-relaxed cell (PBE+U, Alexandria).
Intensities are scaled so that the largest is 100.

Structure:
```
Sr3PrMn4O12
1.0
7.733 0.000 0.000
0.000 3.857 3.953
0.000 -3.857 3.953
Sr Pr Mn O
3 1 4 12
Direct
0.000 0.000 0.000
0.000 0.496 0.496
0.500 0.498 0.498
0.500 0.002 0.002
0.249 0.499 0.999
0.249 0.999 0.499
0.751 0.499 0.999
0.751 0.999 0.499
0.000 0.534 0.960
0.000 0.960 0.534
0.216 0.251 0.251
0.259 0.242 0.756
0.259 0.756 0.242
0.295 0.754 0.754
0.500 0.034 0.452
0.500 0.452 0.034
0.705 0.754 0.754
0.741 0.242 0.756
0.741 0.756 0.242
0.784 0.251 0.251
```

Main lines, in order of rising 2θ (2θ from 10° to 90°):
Position (°2θ)	I_rel
32.41	100.0
32.80	52.7
40.14	23.2
45.91	19.7
47.00	17.1
47.13	17.0
57.57	20.6
58.31	40.5
67.81	10.3
67.91	10.2